PaPt3Rh: calculated powder X-ray diffraction pattern (a wavelength of 1.5418 Å), based on a cell relaxed with GGA-PBE.

Most intense lines, 2θ from 10° to 90°, in order of falling intensity:
hkl 1 1 2, 2θ = 39.04°, rel. 100; hkl 1 2 1, 2θ = 36.00°, rel. 87; hkl 2 0 0, 2θ = 41.17°, rel. 72; hkl 1 5 2, 2θ = 77.98°, rel. 24; hkl 2 3 1, 2θ = 59.65°, rel. 20; hkl 2 3 3, 2θ = 76.71°, rel. 19; hkl 3 1 2, 2θ = 73.58°, rel. 16; hkl 1 3 0, 2θ = 43.53°, rel. 16; hkl 0 3 3, 2θ = 61.53°, rel. 15; hkl 0 2 2, 2θ = 39.88°, rel. 13

Structure:
```
data_PaPt3Rh
_symmetry_space_group_name_H-M 'P m m n'
_symmetry_Int_Tables_number 59
_cell_length_a 4.387
_cell_length_b 7.084
_cell_length_c 5.873
_cell_angle_alpha 90.00
_cell_angle_beta 90.00
_cell_angle_gamma 90.00
loop_
_symmetry_equiv_pos_as_xyz
'x,y,z'
'-x,-y,-z'
'-x+1/2,-y+1/2,z'
'x+1/2,y+1/2,-z'
'x+1/2,-y,-z'
'-x+1/2,y,z'
'-x,y+1/2,-z'
'x,-y+1/2,z'
loop_
_atom_site_label
_atom_site_fract_x
_atom_site_fract_y
_atom_site_fract_z
Pa1 0.250 0.250 0.228
Pt1 0.250 0.062 0.744
Pt2 0.250 0.750 0.472
Rh1 0.250 0.750 0.018
```